The following is a theoretical powder diffraction line list of Ce4SnBi2. It was derived from a crystal structure in Alexandria, relaxed with PBE, using Cu Kα (weighted mean of Kα1 and Kα2).

Most intense lines, 2θ from 5° to 70°, by angle:
22.62°, I = 11; 29.33°, I = 100; 34.87°, I = 71; 41.96°, I = 18; 44.12°, I = 13; 46.19°, I = 14; 48.19°, I = 18; 59.15°, I = 31; 60.85°, I = 11; 62.52°, I = 15

Atomic structure:
abc: 8.338 8.338 8.338
angles: 109.46 109.46 109.50
Positions (direct):
Ce  0.131  0.025  0.749
Ce  0.133  0.527  0.751
Ce  0.277  0.383  0.251
Ce  0.473  0.225  0.606
Ce  0.617  0.869  0.894
Ce  0.619  0.867  0.394
Ce  0.775  0.381  0.249
Ce  0.975  0.723  0.106
Sn  0.250  0.750  0.500
Sn  0.500  0.500  0.000
Bi  0.375  0.003  0.128
Bi  0.753  0.625  0.628
Bi  0.875  0.247  0.872
Bi  0.997  0.125  0.372

---

The following is a theoretical powder diffraction line list of Ce7Sn5Bi. It was derived from a crystal structure in Alexandria, relaxed with PBE, using Cu Kα (weighted mean of Kα1 and Kα2).

Most intense lines, 2θ from 5° to 70°, by angle:
27.64°, I = 69; 28.08°, I = 37; 31.85°, I = 34; 32.25°, I = 100; 32.37°, I = 70; 32.62°, I = 85; 32.93°, I = 56; 35.97°, I = 55; 36.44°, I = 98; 57.07°, I = 48

Atomic structure:
abc: 8.442 8.442 8.442
angles: 135.78 96.53 99.77
Positions (direct):
Ce  0.000  0.000  0.000
Ce  0.301  0.633  0.668
Ce  0.380  0.380  0.000
Ce  0.465  0.126  0.339
Ce  0.788  0.126  0.661
Ce  0.816  0.316  0.500
Ce  0.965  0.633  0.332
Sn  0.127  0.134  0.492
Sn  0.127  0.635  0.993
Sn  0.376  0.876  0.500
Sn  0.641  0.134  0.007
Sn  0.641  0.635  0.508
Bi  0.676  0.676  0.000

---

Question: Which formula does entry 2 have?
Answer: Ce7Sn5Bi

---

Question: Which formula does entry 2 have?
Answer: Ce7Sn5Bi